[1]
For Er2Fe9Si6, a DFT-relaxed cell (GGA-PBE, Alexandria) gives the calculated X-ray powder pattern in this record (CuKα).
Lines closer than 0.1° are merged.

Peak list (10 most intense, 15 to 90 degrees two-theta, sorted by position)
Position (°2θ)  intensity  (hkl)
21.83  309  1 0 1
25.83  308  1 0 2
31.46  935  1 0 3
41.35  752  2 0 0
43.25  1000  1 1 3
48.58  290  0 0 6
61.37  268  2 1 3
65.66  363  2 0 6
69.24  239  3 0 3
75.40  209  2 2 0

Structural model:
Cell lengths 5.0428, 5.0428, 11.2421 Å; angles 90.00, 90.00, 120.00 degrees
Space group P6/mmm (No. 191)
Asymmetric unit:
Er 0.0000 0.0000 0.1730 x2
Fe 0.0000 0.5000 0.0000 x3
Fe 0.0000 0.5000 0.3329 x6
Si 0.3333 0.6667 0.1657 x4
Si 0.3333 0.6667 0.5000 x2

---

[2]
For CePm2HoRh2, a DFT-relaxed cell (GGA-PBE, Alexandria) gives the calculated X-ray powder pattern in this record (CuKα).
Lines closer than 0.1° are merged.

Peak list (10 most intense, 15 to 90 degrees two-theta, sorted by position)
Position (°2θ)  intensity  (hkl)
29.32  693  2 2 0
29.51  705  0 2 2
31.90  678  1 4 1
37.09  359  2 4 0
37.24  358  0 4 2
37.66  1000  2 0 2
43.51  360  1 6 1
50.28  189  1 4 3
67.54  194  0 10 0
80.03  182  2 10 2

Structural model:
Cell lengths 6.782, 13.862, 6.731 Å; angles 90.00, 90.00, 90.00 degrees
Space group Ibam (No. 72)
Asymmetric unit:
Ce 0.000 0.000 0.250 x4
Pm 0.228 0.192 0.000 x8
Ho 0.000 0.500 0.250 x4
Rh 0.235 0.110 0.500 x8

---

[3]
For SmPbI6, a DFT-relaxed cell (GGA-PBE, Alexandria) gives the calculated X-ray powder pattern in this record (CuKα).
Lines closer than 0.1° are merged.

Peak list (10 most intense, 15 to 90 degrees two-theta, sorted by position)
Position (°2θ)  intensity  (hkl)
15.69  397  1 1 0
21.64  284  1 1 2
26.30  1000  1 2 0
27.85  178  2 2 2
34.74  604  1 2 3
36.34  145  2 -1 1
40.16  450  3 3 2
45.80  241  1 -1 3
48.65  173  4 2 1
54.13  165  -2 2 2

Structural model:
Cell lengths 7.773, 7.780, 8.232 Å; angles 61.91, 61.87, 60.04 degrees
Space group P-1 (No. 2)
Asymmetric unit:
Sm 0.000 0.000 0.000 x1
Pb 0.500 0.500 0.500 x1
I 0.064 0.759 0.754 x2
I 0.242 0.578 0.245 x2
I 0.422 0.065 0.754 x2

---

[4]
For TmPuBi3, a DFT-relaxed cell (GGA-PBE, Alexandria) gives the calculated X-ray powder pattern in this record (CuKα).
Lines closer than 0.1° are merged.

Peak list (10 most intense, 15 to 90 degrees two-theta, sorted by position)
Position (°2θ)  intensity  (hkl)
29.22  601  2 0 2
31.10  954  2 2 0
31.78  750  5 0 0
32.56  1000  3 0 2
34.28  569  3 2 0
35.63  428  3 1 2
39.01  465  0 2 2
39.56  404  1 2 2
54.06  441  0 0 4
63.68  319  2 2 4

Structural model:
Cell lengths 14.079, 6.302, 6.785 Å; angles 90.00, 90.00, 90.00 degrees
Space group Pbcm (No. 57)
Asymmetric unit:
Tm 0.106 0.250 0.000 x4
Pu 0.321 0.513 0.250 x4
Bi 0.085 0.707 0.250 x4
Bi 0.271 0.012 0.250 x4
Bi 0.495 0.250 0.000 x4